# 1
Diffraction record for Ca5As. The XRD peak list is theoretical, not measured: it uses a crystal structure in Alexandria, relaxed with GGA-PBE and Cu Kα X-rays.
No peak broadening, texture or thermal motion is included.

Crystal structure
Cell lengths 13.205, 3.858, 9.401 Å; angles 90.00, 115.77, 90.00 degrees
Fractional coordinates of all 12 atoms:
Ca (0.000, 0.000, 0.000)
Ca (0.119, 0.500, 0.383)
Ca (0.171, 0.500, 0.778)
Ca (0.329, 0.000, 0.222)
Ca (0.381, 0.000, 0.617)
Ca (0.500, 0.500, 0.000)
Ca (0.619, 0.000, 0.383)
Ca (0.671, 0.000, 0.778)
Ca (0.829, 0.500, 0.222)
Ca (0.881, 0.500, 0.617)
As (0.000, 0.000, 0.500)
As (0.500, 0.500, 0.500)

Main lines, in order of falling intensity (2θ = 10–90°):
Position (°2θ), I_rel
30.0, 100
32.4, 98
30.8, 83
10.4, 75
57.3, 35
14.9, 31


# 2
Diffraction record for Ho3Ag2Hg2. The XRD peak list is theoretical, not measured: it uses a crystal structure in Alexandria, relaxed with GGA-PBE and Cu Kα X-rays.
No peak broadening, texture or thermal motion is included.

Crystal structure
Cell lengths 4.883, 5.562, 7.077 Å; angles 102.45, 90.08, 115.94 degrees
Fractional coordinates of all 7 atoms:
Ho (0.000, 0.000, 0.000)
Ho (0.374, 0.748, 0.275)
Ho (0.626, 0.252, 0.725)
Ag (0.116, 0.232, 0.428)
Ag (0.884, 0.768, 0.572)
Hg (0.328, 0.656, 0.807)
Hg (0.672, 0.344, 0.193)

Main lines, in order of falling intensity (2θ = 10–90°):
Position (°2θ), I_rel
35.0, 100
33.2, 78
36.8, 49
38.1, 29
33.2, 23
28.0, 20


# 3
Diffraction record for Th4CuAu. The XRD peak list is theoretical, not measured: it uses a crystal structure in Alexandria, relaxed with GGA-PBE and Cu Kα X-rays.
No peak broadening, texture or thermal motion is included.

Crystal structure
Cell lengths 7.427, 7.427, 5.850 Å; angles 90.00, 90.00, 90.00 degrees
Fractional coordinates of all 12 atoms:
Th (0.154, 0.336, 0.000)
Th (0.154, 0.664, 0.500)
Th (0.336, 0.154, 0.500)
Th (0.336, 0.846, 0.000)
Th (0.664, 0.154, 0.000)
Th (0.664, 0.846, 0.500)
Th (0.846, 0.336, 0.500)
Th (0.846, 0.664, 0.000)
Cu (0.000, 0.000, 0.250)
Cu (0.000, 0.000, 0.750)
Au (0.500, 0.500, 0.250)
Au (0.500, 0.500, 0.750)

Main lines, in order of falling intensity (2θ = 10–90°):
Position (°2θ), I_rel
31.0, 100
38.3, 34
39.2, 23
54.6, 23
35.1, 22
61.8, 20